(1)
Structure and calculated powder XRD pattern of DyHo2TmSe6 (the GGA-PBE geometry in Alexandria; λ = 1.5418 Å (Cu Kα)).

Structure:
Cell lengths 7.667, 7.667, 7.667 Å; angles 55.67, 55.67, 55.67 degrees
Positions (direct):
Dy 0.000 0.000 0.000
Ho 0.304 0.304 0.304
Ho 0.805 0.805 0.805
Tm 0.499 0.499 0.499
Se 0.098 0.705 0.403
Se 0.211 0.596 0.898
Se 0.403 0.098 0.705
Se 0.596 0.898 0.211
Se 0.705 0.403 0.098
Se 0.898 0.211 0.596

Main lines, in order of rising 2θ (2θ = 15–90°):
16.98°, d = 5.222 Å, I 42
23.31°, d = 3.817 Å, I 56
24.87°, d = 3.580 Å, I 41
28.51°, d = 3.131 Å, I 54
34.34°, d = 2.611 Å, I 35
37.51°, d = 2.398 Å, I 100
42.87°, d = 2.110 Å, I 32
43.80°, d = 2.067 Å, I 61
49.28°, d = 1.849 Å, I 18
59.00°, d = 1.566 Å, I 26
62.17°, d = 1.493 Å, I 14
76.30°, d = 1.248 Å, I 22

(2)
Structure and calculated powder XRD pattern of Dy3Ho2Si4 (the GGA-PBE geometry in Alexandria; λ = 1.5418 Å (Cu Kα)).

Structure:
Cell lengths 7.616, 7.676, 7.411 Å; angles 90.00, 106.24, 90.00 degrees
Positions (direct):
Dy 0.000 0.000 0.000
Dy 0.000 0.500 0.500
Dy 0.258 0.182 0.746
Dy 0.258 0.318 0.246
Dy 0.742 0.682 0.754
Dy 0.742 0.818 0.254
Ho 0.299 0.683 0.910
Ho 0.299 0.817 0.410
Ho 0.701 0.183 0.590
Ho 0.701 0.317 0.090
Si 0.011 0.621 0.123
Si 0.011 0.879 0.623
Si 0.419 0.027 0.122
Si 0.419 0.473 0.622
Si 0.581 0.527 0.378
Si 0.581 0.973 0.878
Si 0.989 0.121 0.377
Si 0.989 0.379 0.877

Main lines, in order of rising 2θ (2θ = 15–90°):
26.38°, d = 3.378 Å, I 58
27.22°, d = 3.276 Å, I 41
29.74°, d = 3.004 Å, I 52
31.99°, d = 2.797 Å, I 48
33.06°, d = 2.710 Å, I 94
33.65°, d = 2.664 Å, I 83
33.86°, d = 2.647 Å, I 100
34.03°, d = 2.634 Å, I 43
37.35°, d = 2.408 Å, I 62
38.30°, d = 2.350 Å, I 65
53.79°, d = 1.704 Å, I 43
56.15°, d = 1.638 Å, I 48

(3)
Structure and calculated powder XRD pattern of Dy3Ho3Si4 (the GGA-PBE geometry in Alexandria; λ = 1.5418 Å (Cu Kα)).

Structure:
Cell lengths 4.210, 7.458, 7.458 Å; angles 90.05, 90.00, 90.00 degrees
Positions (direct):
Dy 0.000 0.000 0.000
Dy 0.000 0.148 0.500
Dy 0.000 0.500 0.148
Ho 0.000 0.648 0.648
Ho 0.500 0.324 0.824
Ho 0.500 0.824 0.324
Si 0.500 0.208 0.208
Si 0.500 0.441 0.441
Si 0.500 0.707 0.940
Si 0.500 0.940 0.707

Main lines, in order of rising 2θ (2θ = 15–90°):
26.73°, d = 3.335 Å, I 45
27.10°, d = 3.290 Å, I 45
32.06°, d = 2.792 Å, I 100
34.00°, d = 2.637 Å, I 25
34.30°, d = 2.614 Å, I 93
38.16°, d = 2.359 Å, I 52
42.96°, d = 2.105 Å, I 25
50.45°, d = 1.809 Å, I 17
55.27°, d = 1.662 Å, I 24
56.75°, d = 1.622 Å, I 32
58.80°, d = 1.571 Å, I 30
67.83°, d = 1.382 Å, I 16

(4)
Structure and calculated powder XRD pattern of Dy3HoSi4 (the GGA-PBE geometry in Alexandria; λ = 1.5418 Å (Cu Kα)).

Structure:
Cell lengths 8.605, 8.605, 8.605 Å; angles 153.28, 137.52, 50.89 degrees
Positions (direct):
Dy 0.000 0.000 0.000
Dy 0.306 0.806 0.500
Dy 0.694 0.194 0.500
Ho 0.500 0.500 0.000
Si 0.055 0.369 0.686
Si 0.318 0.631 0.686
Si 0.682 0.369 0.314
Si 0.945 0.631 0.314

Main lines, in order of rising 2θ (2θ = 15–90°):
22.31°, d = 3.984 Å, I 17
28.64°, d = 3.117 Å, I 25
29.00°, d = 3.079 Å, I 100
32.18°, d = 2.782 Å, I 14
34.63°, d = 2.590 Å, I 13
35.36°, d = 2.538 Å, I 18
36.97°, d = 2.431 Å, I 17
40.69°, d = 2.217 Å, I 15
45.58°, d = 1.990 Å, I 23
50.95°, d = 1.792 Å, I 20
54.60°, d = 1.681 Å, I 18
70.46°, d = 1.336 Å, I 16

(5)
Structure and calculated powder XRD pattern of Sm3DyHo12 (the GGA-PBE geometry in Alexandria; λ = 1.5418 Å (Cu Kα)).

Structure:
Cell lengths 5.010, 5.010, 20.048 Å; angles 90.00, 90.00, 90.00 degrees
Positions (direct):
Sm 0.000 0.000 0.000
Sm 0.000 0.000 0.251
Sm 0.000 0.000 0.749
Dy 0.000 0.000 0.500
Ho 0.000 0.500 0.126
Ho 0.000 0.500 0.376
Ho 0.000 0.500 0.624
Ho 0.000 0.500 0.874
Ho 0.500 0.000 0.126
Ho 0.500 0.000 0.376
Ho 0.500 0.000 0.624
Ho 0.500 0.000 0.874
Ho 0.500 0.500 0.000
Ho 0.500 0.500 0.251
Ho 0.500 0.500 0.500
Ho 0.500 0.500 0.749

Main lines, in order of rising 2θ (2θ = 15–90°):
30.91°, d = 2.893 Å, I 100
35.84°, d = 2.505 Å, I 51
51.59°, d = 1.772 Å, I 36
61.37°, d = 1.511 Å, I 43
64.41°, d = 1.446 Å, I 12
75.97°, d = 1.253 Å, I 6
84.23°, d = 1.150 Å, I 18
86.95°, d = 1.120 Å, I 17

(6)
Structure and calculated powder XRD pattern of Sm5Dy2Ho4 (the GGA-PBE geometry in Alexandria; λ = 1.5418 Å (Cu Kα)).

Structure:
Cell lengths 6.886, 6.886, 9.701 Å; angles 110.79, 110.79, 61.01 degrees
Positions (direct):
Sm 0.000 0.000 0.000
Sm 0.161 0.631 0.681
Sm 0.369 0.839 0.319
Sm 0.631 0.161 0.681
Sm 0.839 0.369 0.319
Dy 0.131 0.131 0.650
Dy 0.869 0.869 0.350
Ho 0.349 0.349 0.001
Ho 0.356 0.356 0.349
Ho 0.644 0.644 0.651
Ho 0.651 0.651 0.999

Main lines, in order of rising 2θ (2θ = 15–90°):
27.81°, d = 3.208 Å, I 39
29.85°, d = 2.993 Å, I 43
30.33°, d = 2.947 Å, I 100
32.64°, d = 2.744 Å, I 87
33.12°, d = 2.705 Å, I 46
34.27°, d = 2.616 Å, I 58
34.58°, d = 2.594 Å, I 28
40.52°, d = 2.226 Å, I 19
52.35°, d = 1.748 Å, I 17
54.27°, d = 1.690 Å, I 37
57.56°, d = 1.601 Å, I 28
61.71°, d = 1.503 Å, I 25

(7)
Structure and calculated powder XRD pattern of Sm5DyHo3 (the GGA-PBE geometry in Alexandria; λ = 1.5418 Å (Cu Kα)).

Structure:
Cell lengths 8.852, 8.852, 11.525 Å; angles 108.58, 108.58, 44.62 degrees
Positions (direct):
Sm 0.108 0.113 0.551
Sm 0.113 0.108 0.051
Sm 0.187 0.813 0.750
Sm 0.238 0.419 0.653
Sm 0.419 0.238 0.153
Sm 0.581 0.762 0.847
Sm 0.762 0.581 0.347
Sm 0.813 0.187 0.250
Sm 0.887 0.892 0.949
Sm 0.892 0.887 0.449
Dy 0.262 0.738 0.250
Dy 0.738 0.262 0.750
Ho 0.140 0.338 0.871
Ho 0.338 0.140 0.371
Ho 0.500 0.500 0.000
Ho 0.500 0.500 0.500
Ho 0.662 0.860 0.629
Ho 0.860 0.662 0.129

Main lines, in order of rising 2θ (2θ = 15–90°):
29.03°, d = 3.076 Å, I 10
30.87°, d = 2.896 Å, I 38
31.05°, d = 2.880 Å, I 100
31.31°, d = 2.857 Å, I 44
31.39°, d = 2.850 Å, I 18
32.01°, d = 2.796 Å, I 12
32.90°, d = 2.722 Å, I 14
33.13°, d = 2.704 Å, I 12
35.48°, d = 2.530 Å, I 12
35.61°, d = 2.521 Å, I 14
38.56°, d = 2.335 Å, I 12
55.36°, d = 1.660 Å, I 19

(8)
Structure and calculated powder XRD pattern of SmDy7Ho5 (the GGA-PBE geometry in Alexandria; λ = 1.5418 Å (Cu Kα)).

Structure:
Cell lengths 8.663, 8.663, 8.663 Å; angles 134.80, 100.31, 96.68 degrees
Positions (direct):
Sm 0.000 0.000 0.000
Dy 0.116 0.446 0.670
Dy 0.198 0.698 0.500
Dy 0.275 0.947 0.329
Dy 0.389 0.389 0.000
Dy 0.618 0.947 0.671
Dy 0.696 0.696 0.000
Dy 0.775 0.446 0.330
Ho 0.426 0.430 0.462
Ho 0.426 0.963 0.995
Ho 0.695 0.195 0.500
Ho 0.968 0.430 0.005
Ho 0.968 0.963 0.538

Main lines, in order of rising 2θ (2θ = 15–90°):
26.79°, d = 3.328 Å, I 24
27.58°, d = 3.234 Å, I 29
31.05°, d = 2.880 Å, I 100
31.34°, d = 2.854 Å, I 57
31.73°, d = 2.820 Å, I 78
35.09°, d = 2.558 Å, I 82
35.92°, d = 2.500 Å, I 28
55.19°, d = 1.664 Å, I 28
56.94°, d = 1.617 Å, I 26
57.89°, d = 1.593 Å, I 32
64.71°, d = 1.441 Å, I 20
66.28°, d = 1.410 Å, I 26

(9)
Structure and calculated powder XRD pattern of Sm2Dy9Ho3 (the GGA-PBE geometry in Alexandria; λ = 1.5418 Å (Cu Kα)).

Structure:
Cell lengths 6.146, 7.102, 11.216 Å; angles 71.56, 89.95, 73.25 degrees
Positions (direct):
Sm 0.000 0.000 0.000
Sm 0.285 0.143 0.571
Dy 0.142 0.072 0.285
Dy 0.142 0.572 0.285
Dy 0.285 0.643 0.571
Dy 0.429 0.713 0.857
Dy 0.570 0.286 0.142
Dy 0.571 0.786 0.143
Dy 0.714 0.358 0.428
Dy 0.856 0.430 0.714
Dy 0.857 0.928 0.714
Ho 0.000 0.500 0.000
Ho 0.428 0.215 0.857
Ho 0.715 0.857 0.428

Main lines, in order of rising 2θ (2θ = 15–90°):
30.86°, d = 2.898 Å, I 100
35.78°, d = 2.509 Å, I 51
51.50°, d = 1.774 Å, I 36
61.25°, d = 1.513 Å, I 39
61.31°, d = 1.512 Å, I 4
64.30°, d = 1.449 Å, I 12
75.78°, d = 1.255 Å, I 4
75.90°, d = 1.254 Å, I 2
84.06°, d = 1.151 Å, I 16
84.12°, d = 1.151 Å, I 1
86.74°, d = 1.123 Å, I 10
86.83°, d = 1.122 Å, I 7

(10)
Structure and calculated powder XRD pattern of SmDy7Ho2 (the GGA-PBE geometry in Alexandria; λ = 1.5418 Å (Cu Kα)).

Structure:
Cell lengths 6.131, 7.092, 7.920 Å; angles 77.07, 75.04, 73.27 degrees
Positions (direct):
Sm 0.000 0.000 0.000
Dy 0.000 0.500 0.000
Dy 0.200 0.300 0.600
Dy 0.400 0.100 0.201
Dy 0.401 0.599 0.201
Dy 0.599 0.401 0.799
Dy 0.600 0.900 0.799
Dy 0.800 0.700 0.400
Ho 0.200 0.800 0.600
Ho 0.800 0.200 0.400

Main lines, in order of rising 2θ (2θ = 15–90°):
30.91°, d = 2.893 Å, I 100
35.84°, d = 2.505 Å, I 51
51.59°, d = 1.771 Å, I 36
61.30°, d = 1.512 Å, I 7
61.38°, d = 1.510 Å, I 36
64.42°, d = 1.446 Å, I 12
75.89°, d = 1.254 Å, I 2
76.01°, d = 1.252 Å, I 4
84.19°, d = 1.150 Å, I 9
84.29°, d = 1.149 Å, I 9
86.88°, d = 1.121 Å, I 6
87.00°, d = 1.120 Å, I 11

(11)
Structure and calculated powder XRD pattern of Sm4Dy4Ho (the GGA-PBE geometry in Alexandria; λ = 1.5418 Å (Cu Kα)).

Structure:
Cell lengths 8.829, 8.829, 6.833 Å; angles 111.44, 111.44, 36.81 degrees
Positions (direct):
Sm 0.133 0.133 0.462
Sm 0.282 0.282 0.212
Sm 0.718 0.718 0.788
Sm 0.867 0.867 0.538
Dy 0.074 0.074 0.880
Dy 0.370 0.370 0.813
Dy 0.630 0.630 0.187
Dy 0.926 0.926 0.120
Ho 0.500 0.500 0.500

Main lines, in order of rising 2θ (2θ = 15–90°):
30.80°, d = 2.903 Å, I 75
31.37°, d = 2.852 Å, I 100
32.09°, d = 2.789 Å, I 81
33.13°, d = 2.704 Å, I 16
35.07°, d = 2.559 Å, I 10
43.04°, d = 2.102 Å, I 13
46.01°, d = 1.973 Å, I 25
54.72°, d = 1.677 Å, I 21
56.42°, d = 1.631 Å, I 14
56.77°, d = 1.622 Å, I 19
57.07°, d = 1.614 Å, I 11
64.92°, d = 1.436 Å, I 10

(12)
Structure and calculated powder XRD pattern of Sm6DyHo8 (the GGA-PBE geometry in Alexandria; λ = 1.5418 Å (Cu Kα)).

Structure:
Cell lengths 9.437, 9.437, 6.533 Å; angles 90.00, 90.00, 120.00 degrees
Positions (direct):
Sm 0.088 0.679 0.095
Sm 0.321 0.409 0.095
Sm 0.409 0.088 0.905
Sm 0.591 0.912 0.095
Sm 0.679 0.591 0.905
Sm 0.912 0.321 0.905
Dy 0.000 0.000 0.000
Ho 0.022 0.331 0.398
Ho 0.310 0.978 0.398
Ho 0.331 0.310 0.602
Ho 0.333 0.667 0.657
Ho 0.667 0.333 0.343
Ho 0.669 0.690 0.398
Ho 0.690 0.022 0.602
Ho 0.978 0.669 0.602

Main lines, in order of rising 2θ (2θ = 15–90°):
25.72°, d = 3.464 Å, I 41
28.91°, d = 3.089 Å, I 13
29.45°, d = 3.033 Å, I 17
32.05°, d = 2.792 Å, I 81
32.88°, d = 2.724 Å, I 81
33.36°, d = 2.686 Å, I 100
47.54°, d = 1.913 Å, I 13
50.65°, d = 1.802 Å, I 26
53.24°, d = 1.720 Å, I 14
59.92°, d = 1.544 Å, I 13
65.14°, d = 1.432 Å, I 13
86.83°, d = 1.122 Å, I 13